This entry pairs a crystal structure of Ba4CaRh4O12 with its simulated powder X-ray diffraction pattern. Radiation: Cu Ka. Structure: a DFT-relaxed cell (PBE, Alexandria).

Principal peaks in the range 10 to 90 degrees two-theta, in order of rising 2θ:
index	2θ (°)	I_rel
1 0 2	24.47	21
1 1 0	30.72	100
0 1 3	31.08	72
0 2 2	39.66	17
2 0 3	44.27	37
3 0 0	54.62	19
1 2 3	54.85	31
2 2 0	63.99	18

Structure:
```
data_Ba4CaRh4O12
_cell_length_a 5.8203
_cell_length_b 5.8203
_cell_length_c 10.5121
_cell_angle_alpha 90.00
_cell_angle_beta 90.00
_cell_angle_gamma 120.00
_space_group_name_H-M_alt 'P 3 m 1'
_space_group_IT_number 156
loop_
_space_group_symop_operation_xyz
'x,y,z'
'-y,x-y,z'
'-x+y,-x,z'
'-y,-x,z'
'-x+y,y,z'
'x,x-y,z'
loop_
_atom_site_label
_atom_site_fract_x
_atom_site_fract_y
_atom_site_fract_z
Ba1 0.0000 0.0000 0.0000
Ba2 0.0000 0.0000 0.3863
Ba3 0.3333 0.6667 0.1819
Ba4 0.6667 0.3333 0.6305
Ca1 0.0000 0.0000 0.7290
Rh1 0.3333 0.6667 0.5059
Rh2 0.3333 0.6667 0.7825
Rh3 0.6667 0.3333 0.0101
Rh4 0.6667 0.3333 0.2831
O1 0.0055 0.5028 0.3899
O2 0.1839 0.3677 0.6314
O3 0.3708 0.1854 0.1534
O4 0.5121 0.0243 0.8687
```